(1)
# NbTe2Au3S2
Computed X-ray powder pattern, CuKα. Input: a crystal structure in OQMD, relaxed with PBE.
Peak positions follow from Bragg's law for the DFT cell and can differ from measured ones.

Structural model:
Unit cell a=8.396 b=8.961 c=6.111 alpha=90.00 beta=90.00 gamma=90.00
Space group Cmm2 (No. 35)
One atom of each set of equivalent atoms:
Nb (0.000, 0.000, 0.000) [2 per cell]
Te (0.229, 0.500, 0.741) [4 per cell]
Au (0.000, 0.000, 0.501) [2 per cell]
Au (0.250, 0.250, 0.996) [4 per cell]
S (0.000, 0.214, 0.223) [4 per cell]

Main lines, low angle first (2θ from 10° to 90°):
d (Å), Rel. int., h k l
6.120, 96, 0 0 1
3.613, 74, 0 2 1
3.460, 59, 2 0 1
3.061, 30, 2 2 0
2.737, 43, 2 2 1
2.163, 100, 2 2 2



(2)
# RbNdPdSe3
Computed X-ray powder pattern, CuKα. Input: a crystal structure in OQMD, relaxed with PBE.
Peak positions follow from Bragg's law for the DFT cell and can differ from measured ones.

Structural model:
Unit cell a=4.341 b=16.699 c=10.113 alpha=90.00 beta=90.00 gamma=90.00
Space group Cmcm (No. 63)
One atom of each set of equivalent atoms:
Rb (0.000, 0.245, 0.250) [4 per cell]
Nd (0.000, 0.000, 0.000) [4 per cell]
Pd (0.000, 0.497, 0.250) [4 per cell]
Se (0.000, 0.094, 0.750) [4 per cell]
Se (0.000, 0.390, 0.589) [8 per cell]

Main lines, low angle first (2θ from 10° to 90°):
d (Å), Rel. int., h k l
8.350, 100, 0 2 0
3.240, 61, 1 3 1
3.126, 20, 0 2 3
2.835, 57, 1 3 2
2.345, 52, 1 5 2
2.169, 32, 2 0 0



(3)
# AgBr6
Computed X-ray powder pattern, CuKα. Input: a crystal structure in OQMD, relaxed with PBE.
Peak positions follow from Bragg's law for the DFT cell and can differ from measured ones.

Structural model:
Unit cell a=6.7906 b=6.7906 c=14.8057 alpha=90.00 beta=90.00 gamma=120.00
Space group R-3 (No. 148, hexagonal axes)
One atom of each set of equivalent atoms:
Ag (0.0000, 0.0000, 0.0000) [3 per cell]
Br (0.0108, 0.3679, 0.2421) [18 per cell]

Main lines, low angle first (2θ from 10° to 90°):
d (Å), Rel. int., h k l
5.465, 12, 1 0 1
4.605, 26, 0 1 2
2.797, 100, 1 1 3
1.996, 26, 2 -1 6
1.960, 28, 3 0 0
1.605, 15, 4 -2 3



(4)
# K3Ta2Cu3Se8
Computed X-ray powder pattern, CuKα. Input: a crystal structure in OQMD, relaxed with PBE.
Peak positions follow from Bragg's law for the DFT cell and can differ from measured ones.

Structural model:
Unit cell a=24.563 b=5.750 c=14.986 alpha=90.00 beta=120.96 gamma=90.00
Space group C2/c (No. 15)
One atom of each set of equivalent atoms:
K (0.000, 0.000, 0.000) [4 per cell]
K (0.192, 0.460, 0.095) [8 per cell]
Ta (0.125, 0.281, 0.779) [8 per cell]
Cu (0.000, 0.274, 0.750) [4 per cell]
Cu (0.123, 0.219, 0.280) [8 per cell]
Se (0.036, 0.479, 0.155) [8 per cell]
Se (0.092, 0.041, 0.878) [8 per cell]
Se (0.157, 0.031, 0.683) [8 per cell]
Se (0.213, 0.472, 0.393) [8 per cell]

Main lines, low angle first (2θ from 10° to 90°):
d (Å), Rel. int., h k l
6.425, 100, 0 0 2
5.785, 47, 4 0 -2
5.266, 30, 4 0 0
3.202, 31, 3 1 2
3.050, 56, 5 1 -4
2.091, 39, 8 2 -2



(5)
# TeAu17
Computed X-ray powder pattern, CuKα. Input: a crystal structure in OQMD, relaxed with PBE.
Peak positions follow from Bragg's law for the DFT cell and can differ from measured ones.

Structural model:
Unit cell a=5.016 b=5.752 c=27.127 alpha=90.00 beta=91.24 gamma=90.00
Space group P2_1/m (No. 11)
One atom of each set of equivalent atoms:
Te (0.226, 0.250, 0.101) [2 per cell]
Au (0.000, 0.000, 0.500) [2 per cell]
Au (0.003, 0.502, 0.772) [4 per cell]
Au (0.134, 0.750, 0.139) [2 per cell]
Au (0.161, 0.750, 0.681) [2 per cell]
Au (0.163, 0.250, 0.679) [2 per cell]
Au (0.173, 0.250, 0.409) [2 per cell]
Au (0.174, 0.750, 0.410) [2 per cell]
Au (0.327, 0.501, 0.590) [4 per cell]
Au (0.337, 0.501, 0.319) [4 per cell]
Au (0.350, 0.000, 0.861) [4 per cell]
Au (0.494, 0.250, 0.230) [2 per cell]
Au (0.497, 0.750, 0.230) [2 per cell]
Au (0.499, 0.250, 0.500) [2 per cell]

Main lines, low angle first (2θ from 10° to 90°):
d (Å), Rel. int., h k l
2.466, 65, 0 0 11
2.412, 47, 1 2 -3
2.350, 100, 1 2 -4
2.335, 50, 2 0 4
2.126, 31, 2 0 -7
2.087, 73, 1 2 7



(6)
# La2Ni8P
Computed X-ray powder pattern, CuKα. Input: a crystal structure in OQMD, relaxed with PBE.
Peak positions follow from Bragg's law for the DFT cell and can differ from measured ones.

Structural model:
Unit cell a=3.963 b=16.596 c=4.896 alpha=90.00 beta=90.00 gamma=90.00
Space group Amm2 (No. 38)
One atom of each set of equivalent atoms:
La (0.000, 0.121, 0.000) [4 per cell]
Ni (0.000, 0.000, 0.501) [2 per cell]
Ni (0.000, 0.208, 0.499) [4 per cell]
Ni (0.500, 0.000, 0.824) [2 per cell]
Ni (0.500, 0.118, 0.498) [4 per cell]
Ni (0.500, 0.249, 0.751) [4 per cell]
P (0.500, 0.000, 0.283) [2 per cell]

Main lines, low angle first (2θ from 10° to 90°):
d (Å), Rel. int., h k l
2.691, 37, 1 3 1
2.258, 100, 1 5 1
2.108, 31, 0 4 2
2.083, 39, 1 0 2
2.075, 25, 0 8 0
1.982, 39, 2 0 0



(7)
# Y2B4Ir3Pd2
Computed X-ray powder pattern, CuKα. Input: a crystal structure in OQMD, relaxed with PBE.
Peak positions follow from Bragg's law for the DFT cell and can differ from measured ones.

Structural model:
Unit cell a=5.420 b=10.043 c=11.419 alpha=90.00 beta=90.00 gamma=90.00
Space group Fmmm (No. 69)
One atom of each set of equivalent atoms:
Y (0.000, 0.000, 0.147) [8 per cell]
B (0.000, 0.145, 0.359) [16 per cell]
Ir (0.000, 0.000, 0.500) [4 per cell]
Ir (0.250, 0.250, 0.250) [8 per cell]
Pd (0.250, 0.250, 0.000) [8 per cell]

Main lines, low angle first (2θ from 10° to 90°):
d (Å), Rel. int., h k l
2.975, 46, 1 1 3
2.855, 32, 0 0 4
2.511, 55, 0 4 0
2.482, 37, 0 2 4
2.385, 100, 2 2 0
1.830, 40, 2 2 4



(8)
# Cu5Ag4
Computed X-ray powder pattern, CuKα. Input: a crystal structure in OQMD, relaxed with PBE.
Peak positions follow from Bragg's law for the DFT cell and can differ from measured ones.

Structural model:
Unit cell a=9.093 b=2.781 c=11.259 alpha=90.00 beta=113.72 gamma=90.00
Space group C2/m (No. 12)
One atom of each set of equivalent atoms:
Cu (0.000, 0.000, 0.000) [2 per cell]
Cu (0.165, 0.500, 0.908) [4 per cell]
Cu (0.173, 0.500, 0.193) [4 per cell]
Ag (0.003, 0.000, 0.306) [4 per cell]
Ag (0.167, 0.500, 0.567) [4 per cell]

Main lines, low angle first (2θ from 10° to 90°):
d (Å), Rel. int., h k l
2.480, 20, 1 1 -2
2.243, 71, 2 0 3
2.234, 100, 1 1 -3
2.219, 47, 4 0 -3
1.964, 79, 3 1 0
1.182, 29, 5 1 3



(9)
# Zr2Tc2O5
Computed X-ray powder pattern, CuKα. Input: a crystal structure in OQMD, relaxed with PBE.
Peak positions follow from Bragg's law for the DFT cell and can differ from measured ones.

Structural model:
Unit cell a=3.867 b=3.867 c=6.733 alpha=90.00 beta=90.00 gamma=90.00
Space group P4/mmm (No. 123)
One atom of each set of equivalent atoms:
Zr (0.000, 0.000, 0.000) [1 per cell]
Zr (0.000, 0.000, 0.500) [1 per cell]
Tc (0.500, 0.500, 0.183) [2 per cell]
O (0.000, 0.500, 0.257) [4 per cell]
O (0.500, 0.500, 0.500) [1 per cell]

Main lines, low angle first (2θ from 10° to 90°):
d (Å), Rel. int., h k l
2.734, 72, 1 1 0
2.539, 100, 1 0 2
1.941, 20, 1 0 3
1.933, 48, 2 0 0
1.735, 15, 1 1 3
1.538, 40, 2 1 2



(10)
# Er2Lu5Te2Ir2
Computed X-ray powder pattern, CuKα. Input: a crystal structure in OQMD, relaxed with PBE.
Peak positions follow from Bragg's law for the DFT cell and can differ from measured ones.

Structural model:
Unit cell a=3.898 b=15.454 c=9.313 alpha=90.00 beta=90.00 gamma=90.00
Space group Imm2 (No. 44)
One atom of each set of equivalent atoms:
Er (0.000, 0.147, 0.000) [4 per cell]
Lu (0.000, 0.185, 0.639) [4 per cell]
Lu (0.000, 0.367, 0.851) [4 per cell]
Lu (0.000, 0.500, 0.269) [2 per cell]
Te (0.000, 0.000, 0.504) [2 per cell]
Te (0.000, 0.500, 0.607) [2 per cell]
Ir (0.000, 0.262, 0.339) [4 per cell]

Main lines, low angle first (2θ from 10° to 90°):
d (Å), Rel. int., h k l
2.934, 56, 1 1 2
2.659, 45, 0 3 3
2.632, 100, 1 4 1
2.585, 41, 1 3 2
2.317, 24, 1 2 3
1.949, 27, 2 0 0



(11)
# Cu17Pb
Computed X-ray powder pattern, CuKα. Input: a crystal structure in OQMD, relaxed with PBE.
Peak positions follow from Bragg's law for the DFT cell and can differ from measured ones.

Structural model:
Unit cell a=4.414 b=5.097 c=31.425 alpha=90.00 beta=90.13 gamma=90.00
Space group P2_1/m (No. 11)
One atom of each set of equivalent atoms:
Cu (0.000, 0.000, 0.000) [2 per cell]
Cu (0.002, 0.004, 0.199) [4 per cell]
Cu (0.165, 0.250, 0.867) [2 per cell]
Cu (0.166, 0.250, 0.066) [2 per cell]
Cu (0.166, 0.750, 0.264) [2 per cell]
Cu (0.167, 0.750, 0.066) [2 per cell]
Cu (0.168, 0.750, 0.868) [2 per cell]
Cu (0.333, 0.000, 0.132) [4 per cell]
Cu (0.333, 0.001, 0.934) [4 per cell]
Cu (0.334, 0.004, 0.736) [4 per cell]
Cu (0.497, 0.250, 0.199) [2 per cell]
Cu (0.499, 0.750, 0.198) [2 per cell]
Cu (0.500, 0.250, 0.000) [2 per cell]
Pb (0.166, 0.250, 0.298) [2 per cell]

Main lines, low angle first (2θ from 10° to 90°):
d (Å), Rel. int., h k l
7.856, 19, 0 0 4
2.125, 40, 2 0 -4
2.095, 19, 0 0 15
2.082, 100, 1 2 5
1.807, 30, 1 2 -10
1.274, 28, 3 2 0



(12)
# Dy2HoNi2C2N3
Computed X-ray powder pattern, CuKα. Input: a crystal structure in OQMD, relaxed with PBE.
Peak positions follow from Bragg's law for the DFT cell and can differ from measured ones.

Structural model:
Unit cell a=3.452 b=3.452 c=19.493 alpha=90.00 beta=90.00 gamma=90.00
Space group I4/mmm (No. 139)
One atom of each set of equivalent atoms:
Dy (0.000, 0.000, 0.126) [4 per cell]
Ho (0.000, 0.000, 0.500) [2 per cell]
Ni (0.000, 0.500, 0.250) [4 per cell]
C (0.000, 0.000, 0.310) [4 per cell]
N (0.000, 0.000, 0.000) [2 per cell]
N (0.000, 0.000, 0.382) [4 per cell]

Main lines, low angle first (2θ from 10° to 90°):
d (Å), Rel. int., h k l
3.048, 100, 1 0 3
2.584, 76, 1 0 5
2.439, 88, 0 0 8
2.368, 37, 1 1 2
1.725, 60, 2 0 0
1.408, 33, 2 0 8